The following is a theoretical powder diffractogram of Pm2PdRh. It was derived from a structure optimized by DFT (PBE), using copper Kα.
Neutral-atom scattering factors, no anomalous dispersion.

Principal peaks in the range 5° ≤ 2θ ≤ 70°, in order of falling intensity:
2θ = 35.6°, intensity 100.0; 2θ = 64.0°, intensity 35.8; 2θ = 51.3°, intensity 17.6; 2θ = 25.0°, intensity 2.9; 2θ = 57.9°, intensity 1.3; 2θ = 44.0°, intensity 0.9

```
Pm2PdRh
1.0
0.000 3.563 3.563
3.563 0.000 3.563
3.563 3.563 0.000
Pm Pd Rh
2 1 1
Direct
0.250 0.250 0.250 Pm
0.750 0.750 0.750 Pm
0.000 0.000 0.000 Pd
0.500 0.500 0.500 Rh
```